(1)
Pm10Y6Pu: computed X-ray powder pattern (Cu Kα X-rays), based on a DFT-relaxed cell (PBE, Alexandria).

Main lines, in order of falling intensity (10° ≤ 2θ ≤ 80°):
2θ = 31.7°, intensity 100.0; 2θ = 31.6°, intensity 72.0; 2θ = 30.7°, intensity 50.3; 2θ = 45.3°, intensity 27.1; 2θ = 56.3°, intensity 21.7; 2θ = 48.5°, intensity 16.6; 2θ = 56.5°, intensity 16.0; 2θ = 24.6°, intensity 14.1; 2θ = 22.2°, intensity 12.2; 2θ = 62.3°, intensity 11.5; 2θ = 59.2°, intensity 10.4; 2θ = 55.8°, intensity 9.4

Structural model:
```
Pm10Y6Pu
1.0
9.8142 0.0000 0.0000
-4.9071 8.4994 0.0000
0.0000 0.0000 6.9031
Pm Y Pu
10 6 1
direct
0.0000 0.2680 0.3127
0.0000 0.7320 0.6873
0.2680 0.0000 0.3127
0.2680 0.2680 0.6873
0.3333 0.6667 0.0000
0.3333 0.6667 0.5000
0.6667 0.3333 0.0000
0.6667 0.3333 0.5000
0.7320 0.0000 0.6873
0.7320 0.7320 0.3127
0.0000 0.3736 0.8067
0.0000 0.6264 0.1933
0.3736 0.0000 0.8067
0.3736 0.3736 0.1933
0.6264 0.0000 0.1933
0.6264 0.6264 0.8067
0.0000 0.0000 0.0000
```

(2)
Pm2PuZn6: computed X-ray powder pattern (Cu Kα X-rays), based on a DFT-relaxed cell (PBE, Alexandria).

Main lines, in order of falling intensity (10° ≤ 2θ ≤ 80°):
2θ = 34.8°, intensity 100.0; 2θ = 39.0°, intensity 60.7; 2θ = 53.2°, intensity 29.6; 2θ = 68.0°, intensity 28.2; 2θ = 22.2°, intensity 27.0; 2θ = 68.9°, intensity 22.0; 2θ = 70.7°, intensity 10.2; 2θ = 54.4°, intensity 7.6; 2θ = 12.8°, intensity 6.9; 2θ = 45.4°, intensity 4.3; 2θ = 59.5°, intensity 4.1; 2θ = 61.3°, intensity 3.7

Structural model:
```
Pm2PuZn6
1.0
7.9984 0.0000 0.0000
-3.9992 6.9268 0.0000
0.0000 0.0000 3.3751
Pm Pu Zn
2 1 6
direct
0.3333 0.6667 0.0000
0.6667 0.3333 0.0000
0.0000 0.0000 0.0000
0.0000 0.3319 0.5000
0.0000 0.6681 0.5000
0.3319 0.0000 0.5000
0.3319 0.3319 0.5000
0.6681 0.0000 0.5000
0.6681 0.6681 0.5000
```